No. 1
Tb2Dy7Tm: simulated X-ray diffraction stick pattern (Cu Kα (weighted mean of Kα1 and Kα2)), based on a DFT-relaxed cell (GGA-PBE, Alexandria).

Structure:
```
data_Tb2Dy7Tm
_symmetry_space_group_name_H-M 'P -1'
_symmetry_Int_Tables_number 2
_cell_length_a 6.1107
_cell_length_b 7.0672
_cell_length_c 7.8885
_cell_angle_alpha 77.09
_cell_angle_beta 75.06
_cell_angle_gamma 73.26
loop_
_symmetry_equiv_pos_as_xyz
'x,y,z'
'-x,-y,-z'
loop_
_atom_site_label
_atom_site_type_symbol
_atom_site_fract_x
_atom_site_fract_y
_atom_site_fract_z
Tb1 Tb 0.2001 0.2999 0.1006
Dy1 Dy 0.0000 0.0000 0.5000
Dy2 Dy 0.2000 0.7996 0.1004
Dy3 Dy 0.3993 0.1004 0.6995
Dy4 Dy 0.3999 0.6000 0.6994
Tm1 Tm 0.0000 0.5000 0.5000
```

Top 12 peaks for 10 to 90 degrees two-theta, in order of rising 2θ:
| hkl | 2θ (°) | I_rel |
| --- | --- | --- |
| 2 0 1 | 31.03 | 1000 |
| 2 2 0 | 35.98 | 506 |
| 3 2 3 | 51.80 | 360 |
| 3 4 2 | 61.59 | 249 |
| 4 2 1 | 61.65 | 178 |
| 4 0 2 | 64.68 | 123 |
| 4 4 0 | 76.27 | 38 |
| 2 0 6 | 76.35 | 19 |
| 2 6 3 | 84.54 | 60 |
| 5 2 4 | 84.65 | 119 |
| 3 6 1 | 87.28 | 56 |
| 5 4 3 | 87.39 | 111 |

No. 2
Pm3TlAg: simulated X-ray diffraction stick pattern (Cu Kα (weighted mean of Kα1 and Kα2)), based on a DFT-relaxed cell (GGA-PBE, Alexandria).

Structure:
```
data_Pm3TlAg
_symmetry_space_group_name_H-M 'C 1 2/c 1'
_symmetry_Int_Tables_number 15
_cell_length_a 15.4737
_cell_length_b 6.9274
_cell_length_c 11.1690
_cell_angle_alpha 90.00
_cell_angle_beta 93.09
_cell_angle_gamma 90.00
loop_
_symmetry_equiv_pos_as_xyz
'x,y,z'
'-x,-y,-z'
'-x,y,-z+1/2'
'x,-y,z+1/2'
'x+1/2,y+1/2,z'
'-x+1/2,-y+1/2,-z'
'-x+1/2,y+1/2,-z+1/2'
'x+1/2,-y+1/2,z+1/2'
loop_
_atom_site_label
_atom_site_type_symbol
_atom_site_fract_x
_atom_site_fract_y
_atom_site_fract_z
Pm1 Pm 0.0528 0.2172 0.0730
Pm2 Pm 0.1191 0.4727 0.8287
Pm3 Pm 0.1885 0.0358 0.3218
Tl1 Tl 0.1334 0.2505 0.5751
Ag1 Ag 0.0000 0.1131 0.7500
Ag2 Ag 0.2500 0.2500 0.0000
```

Top 12 peaks for 10 to 90 degrees two-theta, in order of rising 2θ:
| hkl | 2θ (°) | I_rel |
| --- | --- | --- |
| 4 0 0 | 23.02 | 179 |
| 3 1 -2 | 26.28 | 187 |
| 4 0 -2 | 27.40 | 261 |
| 0 2 2 | 30.38 | 914 |
| 3 1 -3 | 31.68 | 1000 |
| 2 2 -2 | 32.28 | 948 |
| 2 2 2 | 32.88 | 895 |
| 5 1 1 | 33.12 | 763 |
| 2 0 -4 | 33.58 | 506 |
| 2 0 4 | 34.80 | 529 |
| 0 2 6 | 56.18 | 335 |
| 7 3 3 | 64.42 | 236 |

No. 3
Ac4LaPd5: simulated X-ray diffraction stick pattern (Cu Kα (weighted mean of Kα1 and Kα2)), based on a DFT-relaxed cell (GGA-PBE, Alexandria).

Structure:
```
data_Ac4LaPd5
_symmetry_space_group_name_H-M 'I 4/m'
_symmetry_Int_Tables_number 87
_symmetry_space_group_name_Hall '-I 4'
_cell_length_a 9.8181
_cell_length_b 9.8181
_cell_length_c 6.2091
_cell_angle_alpha 90.00
_cell_angle_beta 90.00
_cell_angle_gamma 90.00
loop_
_atom_site_label
_atom_site_type_symbol
_atom_site_fract_x
_atom_site_fract_y
_atom_site_fract_z
Ac1 Ac 0.0984 0.2994 0.0000
La1 La 0.0000 0.0000 0.5000
Pd1 Pd 0.0000 0.0000 0.0000
Pd2 Pd 0.0978 0.2944 0.5000
```

Top 12 peaks for 10 to 90 degrees two-theta, in order of rising 2θ:
| hkl | 2θ (°) | I_rel |
| --- | --- | --- |
| 1 0 1 | 16.90 | 11 |
| 2 1 1 | 24.84 | 176 |
| 0 0 2 | 28.75 | 1000 |
| 1 3 2 | 41.12 | 767 |
| 5 0 1 | 48.63 | 96 |
| 4 2 2 | 50.95 | 275 |
| 0 0 4 | 59.55 | 129 |
| 6 3 1 | 65.53 | 42 |
| 1 3 4 | 67.45 | 355 |
| 4 2 4 | 74.92 | 262 |
| 4 7 1 | 80.35 | 34 |
| 2 6 4 | 89.23 | 88 |

No. 4
RbTi2Cr: simulated X-ray diffraction stick pattern (Cu Kα (weighted mean of Kα1 and Kα2)), based on a DFT-relaxed cell (GGA-PBE, Alexandria).

Structure:
Lattice parameters (Å, degrees): 9.9923 9.9923 9.9923 90.00 90.00 90.00
Space group Fd-3m (No. 227, origin choice 2)
Unique sites:
Rb 0.1250 0.1250 0.1250 x8
Ti 0.0000 0.0000 0.5000 x16
Cr 0.1250 0.1250 0.6250 x8

Top 12 peaks for 10 to 90 degrees two-theta, in order of rising 2θ:
| hkl | 2θ (°) | I_rel |
| --- | --- | --- |
| 1 1 1 | 15.36 | 85 |
| 2 2 0 | 25.21 | 1000 |
| 3 1 1 | 29.65 | 328 |
| 2 2 2 | 31.00 | 178 |
| 4 2 2 | 44.42 | 410 |
| 5 1 1 | 47.27 | 115 |
| 4 4 0 | 51.75 | 352 |
| 6 2 0 | 58.41 | 174 |
| 6 2 2 | 61.56 | 62 |
| 6 4 2 | 70.53 | 194 |
| 7 3 1 | 72.69 | 71 |
| 8 2 2 | 81.79 | 96 |

No. 5
Nd6SbSe3S2: simulated X-ray diffraction stick pattern (Cu Kα (weighted mean of Kα1 and Kα2)), based on a DFT-relaxed cell (GGA-PBE, Alexandria).

Structure:
```
data_Nd6SbSe3S2
_symmetry_space_group_name_H-M 'C 1 2/m 1'
_symmetry_Int_Tables_number 12
_cell_length_a 18.4775
_cell_length_b 4.2186
_cell_length_c 8.5157
_cell_angle_alpha 90.00
_cell_angle_beta 103.72
_cell_angle_gamma 90.00
loop_
_symmetry_equiv_pos_as_xyz
'x,y,z'
'-x,-y,-z'
'-x,y,-z'
'x,-y,z'
'x+1/2,y+1/2,z'
'-x+1/2,-y+1/2,-z'
'-x+1/2,y+1/2,-z'
'x+1/2,-y+1/2,z'
loop_
_atom_site_label
_atom_site_type_symbol
_atom_site_fract_x
_atom_site_fract_y
_atom_site_fract_z
Nd1 Nd 0.0079 0.0000 0.2631
Nd2 Nd 0.1717 0.5000 0.1038
Nd3 Nd 0.1717 0.5000 0.5731
Sb1 Sb 0.0000 0.5000 0.0000
Se1 Se 0.0000 0.5000 0.5000
Se2 Se 0.1626 0.0000 0.8329
S1 S 0.1687 0.0000 0.3369
```

Top 12 peaks for 10 to 90 degrees two-theta, in order of rising 2θ:
| hkl | 2θ (°) | I_rel |
| --- | --- | --- |
| 3 1 0 | 25.82 | 158 |
| 1 1 -2 | 29.83 | 1000 |
| 2 0 -4 | 42.46 | 119 |
| 7 1 -2 | 42.60 | 247 |
| 0 2 0 | 42.84 | 359 |
| 8 0 -4 | 52.59 | 64 |
| 4 0 4 | 52.96 | 57 |
| 6 2 0 | 53.13 | 128 |
| 2 2 -4 | 61.92 | 81 |
| 8 2 -4 | 70.14 | 103 |
| 4 2 4 | 70.45 | 94 |
| 7 3 -2 | 78.36 | 92 |

No. 6
Sc3Ta2C4: simulated X-ray diffraction stick pattern (Cu Kα (weighted mean of Kα1 and Kα2)), based on a DFT-relaxed cell (GGA-PBE, Alexandria).

Structure:
```
data_Sc3Ta2C4
_symmetry_space_group_name_H-M 'C 1 2/m 1'
_symmetry_Int_Tables_number 12
_cell_length_a 10.7832
_cell_length_b 3.2917
_cell_length_c 8.0034
_cell_angle_alpha 90.00
_cell_angle_beta 120.79
_cell_angle_gamma 90.00
loop_
_symmetry_equiv_pos_as_xyz
'x,y,z'
'-x,-y,-z'
'-x,y,-z'
'x,-y,z'
'x+1/2,y+1/2,z'
'-x+1/2,-y+1/2,-z'
'-x+1/2,y+1/2,-z'
'x+1/2,-y+1/2,z'
loop_
_atom_site_label
_atom_site_type_symbol
_atom_site_fract_x
_atom_site_fract_y
_atom_site_fract_z
Sc1 Sc 0.0000 0.0000 0.0000
Sc2 Sc 0.1966 0.0000 0.8037
Ta1 Ta 0.1076 0.5000 0.3818
C1 C 0.0921 0.5000 0.8826
C2 C 0.1999 0.0000 0.3148
```

Top 12 peaks for 10 to 90 degrees two-theta, in order of rising 2θ:
| hkl | 2θ (°) | I_rel |
| --- | --- | --- |
| 0 0 1 | 12.88 | 502 |
| 2 0 -1 | 16.73 | 244 |
| 2 0 -2 | 23.01 | 386 |
| 1 1 0 | 28.78 | 241 |
| 1 1 1 | 33.65 | 1000 |
| 4 0 -1 | 33.94 | 317 |
| 3 1 -1 | 37.08 | 177 |
| 3 1 -2 | 38.77 | 605 |
| 2 0 2 | 39.86 | 303 |
| 1 1 -4 | 56.60 | 225 |
| 5 1 0 | 57.04 | 198 |
| 2 2 -3 | 66.82 | 139 |

No. 7
CaY: simulated X-ray diffraction stick pattern (Cu Kα (weighted mean of Kα1 and Kα2)), based on a DFT-relaxed cell (GGA-PBE, Alexandria).

Structure:
```
data_CaY
_symmetry_space_group_name_H-M 'P 3 m 1'
_symmetry_Int_Tables_number 156
_cell_length_a 3.6990
_cell_length_b 3.6990
_cell_length_c 12.3179
_cell_angle_alpha 90.00
_cell_angle_beta 90.00
_cell_angle_gamma 120.00
loop_
_symmetry_equiv_pos_as_xyz
'x,y,z'
'-y,x-y,z'
'-x+y,-x,z'
'-y,-x,z'
'-x+y,y,z'
'x,x-y,z'
loop_
_atom_site_label
_atom_site_type_symbol
_atom_site_fract_x
_atom_site_fract_y
_atom_site_fract_z
Ca1 Ca 0.0000 0.0000 0.0000
Ca2 Ca 0.3333 0.6667 0.7303
Y1 Y 0.3333 0.6667 0.2553
Y2 Y 0.6667 0.3333 0.4797
```

Top 12 peaks for 10 to 90 degrees two-theta, in order of rising 2θ:
| hkl | 2θ (°) | I_rel |
| --- | --- | --- |
| 1 0 0 | 27.85 | 105 |
| 0 1 1 | 28.80 | 476 |
| 0 0 4 | 29.00 | 330 |
| 0 1 2 | 31.48 | 1000 |
| 1 0 3 | 35.54 | 340 |
| 0 1 5 | 46.50 | 107 |
| 1 1 0 | 49.27 | 233 |
| 0 1 6 | 52.98 | 186 |
| 1 1 4 | 58.19 | 251 |
| 2 0 2 | 59.64 | 148 |
| 1 2 2 | 80.92 | 117 |
| 1 1 8 | 81.27 | 103 |

No. 8
Na4BeCl6: simulated X-ray diffraction stick pattern (Cu Kα (weighted mean of Kα1 and Kα2)), based on a DFT-relaxed cell (GGA-PBE, Alexandria).

Structure:
```
data_Na4BeCl6
_symmetry_space_group_name_H-M 'C 1 c 1'
_symmetry_Int_Tables_number 9
_cell_length_a 13.0576
_cell_length_b 7.2090
_cell_length_c 13.3288
_cell_angle_alpha 90.00
_cell_angle_beta 112.08
_cell_angle_gamma 90.00
loop_
_symmetry_equiv_pos_as_xyz
'x,y,z'
'x,-y,z+1/2'
'x+1/2,y+1/2,z'
'x+1/2,-y+1/2,z+1/2'
loop_
_atom_site_label
_atom_site_type_symbol
_atom_site_fract_x
_atom_site_fract_y
_atom_site_fract_z
Na1 Na 0.0000 0.1116 0.0000
Na2 Na 0.1285 0.3074 0.3448
Na3 Na 0.2918 0.3288 0.6896
Na4 Na 0.3507 0.1267 0.0099
Be1 Be 0.0624 0.2287 0.7502
Cl1 Cl 0.0867 0.4593 0.6698
Cl2 Cl 0.1356 0.2834 0.9126
Cl3 Cl 0.1374 0.0088 0.7102
Cl4 Cl 0.3170 0.2360 0.5079
Cl5 Cl 0.3976 0.3090 0.2054
Cl6 Cl 0.4493 0.2870 0.8882
```

Top 12 peaks for 10 to 90 degrees two-theta, in order of rising 2θ:
| hkl | 2θ (°) | I_rel |
| --- | --- | --- |
| 0 2 0 | 24.68 | 718 |
| 3 1 -3 | 27.41 | 323 |
| 4 0 -2 | 27.53 | 411 |
| 1 1 3 | 28.25 | 598 |
| 3 1 1 | 28.56 | 297 |
| 0 2 2 | 28.68 | 517 |
| 0 0 4 | 28.88 | 713 |
| 4 0 0 | 29.53 | 308 |
| 2 2 -2 | 29.70 | 1000 |
| 4 0 -6 | 42.83 | 305 |
| 5 1 -5 | 43.21 | 331 |
| 6 0 -4 | 43.44 | 255 |